(1)
Ba2AlNi2F11: theoretical X-ray diffraction stick pattern (Cu Kα, 1.54184 Å), based on a cell relaxed with GGA+U.

```
data_Ba2AlNi2F11
_chemical_formula_sum 'Ba6 Al3 Ni6 F33'
_cell_length_a 7.3904
_cell_length_b 7.3904
_cell_length_c 14.2243
_cell_angle_alpha 90.00
_cell_angle_beta 90.00
_cell_angle_gamma 120.00
_space_group_name_H-M_alt 'P 32'
_space_group_IT_number 145
loop_
_space_group_symop_operation_xyz
'x,y,z'
'-y,x-y,z+2/3'
'-x+y,-x,z+1/3'
loop_
_atom_site_label
_atom_site_type_symbol
_atom_site_fract_x
_atom_site_fract_y
_atom_site_fract_z
Ba1 Ba 0.1409 0.0145 0.0000
Ba2 Ba 0.5129 0.1708 0.4668
Al1 Al 0.1743 0.4988 0.8739
Ni1 Ni 0.1375 0.4371 0.3853
Ni2 Ni 0.3364 0.3194 0.2177
F1 F 0.9996 0.5925 0.4194
F2 F 0.0007 0.7497 0.6866
F3 F 0.0446 0.1364 0.1773
F4 F 0.0522 0.7516 0.1873
F5 F 0.0797 0.3964 0.9871
F6 F 0.1297 0.7190 0.8784
F7 F 0.2228 0.5438 0.2455
F8 F 0.2515 0.5764 0.7514
F9 F 0.3601 0.1478 0.6861
F10 F 0.4118 0.0915 0.1621
F11 F 0.5262 0.1558 0.9258
```

Principal peaks in the range 2θ = 10–90°, most intense first:
Position (°2θ)  I/Imax  (hkl)
23.3  100  1 0 3
27.2  91  1 1 2
24.9  80  2 -1 1
30.6  74  2 0 2
39.3  72  2 1 2
28.6  68  0 2 1
28.7  65  0 1 4
49.3  49  2 2 0
40.6  41  0 1 6
45.3  41  3 -2 4

***

(2)
Rb2MoO4F2: theoretical X-ray diffraction stick pattern (Cu Kα, 1.54184 Å), based on a cell relaxed with GGA+U.

```
data_Rb2MoO4F2
_chemical_formula_sum 'Rb8 Mo4 O16 F8'
_cell_length_a 6.289
_cell_length_b 14.587
_cell_length_c 7.128
_cell_angle_alpha 90.00
_cell_angle_beta 90.00
_cell_angle_gamma 90.00
_space_group_name_H-M_alt 'C m c m'
_space_group_IT_number 63
_space_group_name_Hall '-C 2c 2'
loop_
_atom_site_label
_atom_site_type_symbol
_atom_site_fract_x
_atom_site_fract_y
_atom_site_fract_z
Rb1 Rb 0.000 0.054 0.250
Rb2 Rb 0.000 0.267 0.750
Mo1 Mo 0.000 0.391 0.250
O1 O 0.229 0.386 0.079
F1 F 0.000 0.252 0.250
F2 F 0.000 0.474 0.750
```

Principal peaks in the range 2θ = 10–90°, most intense first:
Position (°2θ)  I/Imax  (hkl)
26.3  100  1 3 1
38.2  47  2 0 2
25.0  46  0 0 2
49.0  31  3 3 1
28.4  26  2 0 0
39.1  24  0 6 1
62.1  23  2 6 3
44.8  21  1 3 3
23.1  17  1 3 0
54.2  13  2 6 2

***

(3)
Li2CoO2: theoretical X-ray diffraction stick pattern (Cu Kα, 1.54184 Å), based on a cell relaxed with GGA+U.

```
data_Li2CoO2
_chemical_formula_sum 'Li4 Co2 O4'
_cell_length_a 2.828
_cell_length_b 3.882
_cell_length_c 8.851
_cell_angle_alpha 90.00
_cell_angle_beta 90.00
_cell_angle_gamma 90.00
_space_group_name_H-M_alt 'I m m m'
_space_group_IT_number 71
_space_group_name_Hall '-I 2 2'
loop_
_atom_site_label
_atom_site_type_symbol
_atom_site_fract_x
_atom_site_fract_y
_atom_site_fract_z
Li1 Li 0.000 0.000 0.196
Co1 Co 0.000 0.000 0.500
O1 O 0.000 0.500 0.142
```

Principal peaks in the range 2θ = 10–90°, most intense first:
Position (°2θ)  I/Imax  (hkl)
25.0  100  0 1 1
44.4  30  1 0 3
20.1  28  0 0 2
44.6  22  1 1 2
58.0  21  1 1 4
66.5  15  1 2 3
46.8  14  0 2 0
33.3  10  1 0 1
38.3  8  0 1 3
71.9  7  2 1 1

***

> Number 3 is which compound?

Li2CoO2

***

What did the first record say?
Ba2AlNi2F11: theoretical X-ray diffraction stick pattern (Cu Kα, 1.54184 Å), based on a cell relaxed with GGA+U.

```
data_Ba2AlNi2F11
_chemical_formula_sum 'Ba6 Al3 Ni6 F33'
_cell_length_a 7.3904
_cell_length_b 7.3904
_cell_length_c 14.2243
_cell_angle_alpha 90.00
_cell_angle_beta 90.00
_cell_angle_gamma 120.00
_space_group_name_H-M_alt 'P 32'
_space_group_IT_number 145
loop_
_space_group_symop_operation_xyz
'x,y,z'
'-y,x-y,z+2/3'
'-x+y,-x,z+1/3'
loop_
_atom_site_label
_atom_site_type_symbol
_atom_site_fract_x
_atom_site_fract_y
_atom_site_fract_z
Ba1 Ba 0.1409 0.0145 0.0000
Ba2 Ba 0.5129 0.1708 0.4668
Al1 Al 0.1743 0.4988 0.8739
Ni1 Ni 0.1375 0.4371 0.3853
Ni2 Ni 0.3364 0.3194 0.2177
F1 F 0.9996 0.5925 0.4194
F2 F 0.0007 0.7497 0.6866
F3 F 0.0446 0.1364 0.1773
F4 F 0.0522 0.7516 0.1873
F5 F 0.0797 0.3964 0.9871
F6 F 0.1297 0.7190 0.8784
F7 F 0.2228 0.5438 0.2455
F8 F 0.2515 0.5764 0.7514
F9 F 0.3601 0.1478 0.6861
F10 F 0.4118 0.0915 0.1621
F11 F 0.5262 0.1558 0.9258
```

Principal peaks in the range 2θ = 10–90°, most intense first:
Position (°2θ)  I/Imax  (hkl)
23.3  100  1 0 3
27.2  91  1 1 2
24.9  80  2 -1 1
30.6  74  2 0 2
39.3  72  2 1 2
28.6  68  0 2 1
28.7  65  0 1 4
49.3  49  2 2 0
40.6  41  0 1 6
45.3  41  3 -2 4

***

> What is the formula in the third record?

Li2CoO2